# 1
For CsFe2Sb2, the GGA-PBE geometry in Alexandria gives the simulated X-ray powder pattern in this record (copper Kα).
Lines closer than 0.1° are merged.

Crystal structure
a b c (Å): 3.6859 3.6859 18.8458
angles (deg): 90.00 90.00 90.00
Space group I4/mmm (No. 139)
One atom of each set of equivalent atoms:
1 Cs 0.0000 0.0000 0.0000 x2
2 Fe 0.0000 0.5000 0.2500 x4
3 Sb 0.0000 0.0000 0.3487 x4

The 12 most intense peaks (2θ = 10–90°), in order of rising 2θ:
28.07°, I 100, (1 0 3)
28.42°, I 8, (0 0 6)
34.41°, I 14, (1 1 0)
35.74°, I 12, (1 1 2)
39.51°, I 10, (1 1 4)
45.21°, I 41, (1 1 6)
49.46°, I 19, (2 0 0)
50.10°, I 12, (1 0 9)
57.83°, I 26, (2 1 3)
73.05°, I 8, (2 1 9)
80.29°, I 11, (1 1 14)
89.74°, I 11, (3 1 6)

---

# 2
For Tl5In6Sn2, the GGA-PBE geometry in Alexandria gives the simulated X-ray powder pattern in this record (copper Kα).
Lines closer than 0.1° are merged.

Crystal structure
a b c (Å): 7.4216 7.6395 8.0564
angles (deg): 107.55 109.93 105.33
Space group P-1 (No. 2)
One atom of each set of equivalent atoms:
1 Tl 0.0000 0.0000 0.0000 x1
2 Tl 0.3053 0.9261 0.7692 x2
3 Tl 0.3770 0.1542 0.4625 x2
4 In 0.1564 0.4656 0.3884 x2
5 In 0.2264 0.6869 0.0785 x2
6 In 0.4643 0.3911 0.1552 x2
7 Sn 0.0827 0.2537 0.7049 x2

The 12 most intense peaks (2θ = 10–90°), in order of rising 2θ:
31.46°, I 53, (2 1 -2)
32.05°, I 100, (1 -2 2)
32.18°, I 49, (-2 2 1)
35.27°, I 39, (1 0 -3)
36.86°, I 34, (0 3 -1)
38.91°, I 30, (3 -1 0)
51.45°, I 14, (1 3 -4)
52.42°, I 12, (-1 3 2)
53.22°, I 13, (-4 1 3)
53.82°, I 12, (2 -1 3)
63.40°, I 14, (1 -5 3)
67.02°, I 12, (2 -4 4)